1.
Calculated powder diffractogram
Compound: Ac6Pr2Y
Radiation: CuKα
Structure: DFT lattice parameters and positions (GGA-PBE)

Structure:
abc: 8.5913 8.5913 11.6267
angles: 131.43 131.43 37.59
Sites, in units of the cell vectors:
Ac: 0.0044 0.0044 0.3324
Ac: 0.3279 0.3279 0.3323
Ac: 0.3385 0.3385 0.0001
Ac: 0.6615 0.6615 0.9999
Ac: 0.6721 0.6721 0.6677
Ac: 0.9956 0.9956 0.6676
Pr: 0.3342 0.3342 0.6686
Pr: 0.6658 0.6658 0.3314
Y: 0.0000 0.0000 0.0000

Most intense lines, 15° ≤ 2θ ≤ 90°, sorted by position:
2θ/deg, I/Imax
28.10, 100
32.32, 35
33.04, 16
46.36, 13
46.89, 25
55.09, 32
56.04, 14
58.10, 13
75.59, 12
86.34, 7

=====

2.
Calculated powder diffractogram
Compound: AcPr6Y4
Radiation: CuKα
Structure: DFT lattice parameters and positions (GGA-PBE)

Structure:
abc: 8.7508 8.7508 8.7508
angles: 126.70 126.70 78.74
Sites, in units of the cell vectors:
Ac: 0.0000 0.0000 0.0000
Pr: 0.0000 0.5000 0.5000
Pr: 0.0508 0.5684 0.0000
Pr: 0.4316 0.4316 0.4824
Pr: 0.5000 0.0000 0.5000
Pr: 0.5684 0.0508 0.0000
Pr: 0.9492 0.9492 0.5176
Y: 0.2603 0.2603 0.6770
Y: 0.4167 0.7397 0.0000
Y: 0.5833 0.5833 0.3230
Y: 0.7397 0.4167 0.0000

Most intense lines, 15° ≤ 2θ ≤ 90°, sorted by position:
2θ/deg, I/Imax
26.24, 100
30.96, 47
32.27, 58
34.97, 31
38.64, 15
42.11, 12
45.31, 14
53.99, 41
59.52, 15
78.53, 13

=====

3.
Calculated powder diffractogram
Compound: Ac2Pr6Y3
Radiation: CuKα
Structure: DFT lattice parameters and positions (GGA-PBE)

Structure:
abc: 6.4680 8.3230 8.3314
angles: 107.58 97.39 104.77
Sites, in units of the cell vectors:
Ac: 0.2278 0.4051 0.0487
Ac: 0.7722 0.5949 0.9513
Pr: 0.0445 0.6835 0.4144
Pr: 0.1393 0.0462 0.2355
Pr: 0.3185 0.7783 0.8617
Pr: 0.6815 0.2217 0.1383
Pr: 0.8607 0.9538 0.7645
Pr: 0.9555 0.3165 0.5856
Y: 0.4116 0.1337 0.6766
Y: 0.5000 0.5000 0.5000
Y: 0.5884 0.8663 0.3234

Most intense lines, 15° ≤ 2θ ≤ 90°, sorted by position:
2θ/deg, I/Imax
29.34, 100
33.97, 34
34.09, 17
48.86, 24
48.98, 6
57.93, 15
58.04, 11
58.14, 14
60.87, 6
79.22, 9

=====

4.
Calculated powder diffractogram
Compound: Ac2Pr2Y
Radiation: CuKα
Structure: DFT lattice parameters and positions (GGA-PBE)

Structure:
abc: 6.6188 6.6188 9.8674
angles: 107.10 107.10 75.60
Sites, in units of the cell vectors:
Ac: 0.0379 0.7161 0.8527
Ac: 0.2839 0.9621 0.6473
Ac: 0.7161 0.0379 0.3527
Ac: 0.9621 0.2839 0.1473
Pr: 0.2724 0.4086 0.5139
Pr: 0.4086 0.2724 0.0139
Pr: 0.5914 0.7276 0.9861
Pr: 0.7276 0.5914 0.4861
Y: 0.2406 0.7594 0.2500
Y: 0.7594 0.2406 0.7500

Most intense lines, 15° ≤ 2θ ≤ 90°, sorted by position:
2θ/deg, I/Imax
19.05, 15
23.99, 22
26.78, 30
27.86, 38
27.99, 34
29.37, 100
31.45, 24
32.51, 24
34.43, 18
37.04, 13

=====

5.
Calculated powder diffractogram
Compound: Ac6Pr7Y16
Radiation: CuKα
Structure: DFT lattice parameters and positions (GGA-PBE)

Structure:
abc: 11.6063 11.6063 11.6063
angles: 60.00 60.00 60.00
Sites, in units of the cell vectors:
Ac: 0.2422 0.2422 0.7578
Ac: 0.2422 0.7578 0.2422
Ac: 0.2422 0.7578 0.7578
Ac: 0.7578 0.2422 0.2422
Ac: 0.7578 0.2422 0.7578
Ac: 0.7578 0.7578 0.2422
Pr: 0.0000 0.0000 0.5000
Pr: 0.0000 0.5000 0.0000
Pr: 0.0000 0.5000 0.5000
Pr: 0.5000 0.0000 0.0000
Pr: 0.5000 0.0000 0.5000
Pr: 0.5000 0.5000 0.0000
Pr: 0.5000 0.5000 0.5000
Y: 0.1092 0.6303 0.6303
Y: 0.1570 0.1570 0.1570
Y: 0.1570 0.1570 0.5290
Y: 0.1570 0.5290 0.1570
Y: 0.3697 0.3697 0.3697
Y: 0.3697 0.3697 0.8908
Y: 0.3697 0.8908 0.3697
Y: 0.4710 0.8430 0.8430
Y: 0.5290 0.1570 0.1570
Y: 0.6303 0.1092 0.6303
Y: 0.6303 0.6303 0.1092
Y: 0.6303 0.6303 0.6303
Y: 0.8430 0.4710 0.8430
Y: 0.8430 0.8430 0.4710
Y: 0.8430 0.8430 0.8430
Y: 0.8908 0.3697 0.3697

Most intense lines, 15° ≤ 2θ ≤ 90°, sorted by position:
2θ/deg, I/Imax
15.27, 10
21.66, 12
24.25, 9
26.61, 11
30.82, 100
44.14, 14
49.68, 12
54.80, 30
72.90, 10
89.33, 15

=====

6.
Calculated powder diffractogram
Compound: Ac12PrY2
Radiation: CuKα
Structure: DFT lattice parameters and positions (GGA-PBE)

Structure:
abc: 7.2702 7.2702 26.9695
angles: 90.00 90.00 90.00
Sites, in units of the cell vectors:
Ac: 0.0007 0.5007 0.1017
Ac: 0.0007 0.9993 0.8983
Ac: 0.0790 0.5790 0.4379
Ac: 0.0790 0.9210 0.5621
Ac: 0.2500 0.2500 0.1987
Ac: 0.2500 0.2500 0.3282
Ac: 0.2500 0.2500 0.6718
Ac: 0.2500 0.2500 0.8013
Ac: 0.4210 0.5790 0.5621
Ac: 0.4210 0.9210 0.4379
Ac: 0.4993 0.5007 0.8983
Ac: 0.4993 0.9993 0.1017
Ac: 0.5007 0.0007 0.8983
Ac: 0.5007 0.4993 0.1017
Ac: 0.5790 0.0790 0.5621
Ac: 0.5790 0.4210 0.4379
Ac: 0.7500 0.7500 0.1987
Ac: 0.7500 0.7500 0.3282
Ac: 0.7500 0.7500 0.6718
Ac: 0.7500 0.7500 0.8013
Ac: 0.9210 0.0790 0.4379
Ac: 0.9210 0.4210 0.5621
Ac: 0.9993 0.0007 0.1017
Ac: 0.9993 0.4993 0.8983
Pr: 0.2500 0.7500 0.0000
Pr: 0.7500 0.2500 0.0000
Y: 0.2500 0.7500 0.2231
Y: 0.2500 0.7500 0.7769
Y: 0.7500 0.2500 0.2231
Y: 0.7500 0.2500 0.7769

Most intense lines, 15° ≤ 2θ ≤ 90°, sorted by position:
2θ/deg, I/Imax
18.47, 58
25.38, 83
26.44, 32
27.88, 41
29.63, 49
29.82, 55
31.67, 100
34.91, 68
46.55, 38
47.89, 34

=====

7.
Calculated powder diffractogram
Compound: Ac3PrZn4
Radiation: CuKα
Structure: DFT lattice parameters and positions (GGA-PBE)

Structure:
abc: 3.8654 3.8654 15.4266
angles: 90.00 90.00 90.00
Sites, in units of the cell vectors:
Ac: 0.0000 0.0000 0.0000
Ac: 0.0000 0.0000 0.2569
Ac: 0.0000 0.0000 0.7431
Pr: 0.0000 0.0000 0.5000
Zn: 0.5000 0.5000 0.1276
Zn: 0.5000 0.5000 0.3892
Zn: 0.5000 0.5000 0.6108
Zn: 0.5000 0.5000 0.8724

Most intense lines, 15° ≤ 2θ ≤ 90°, sorted by position:
2θ/deg, I/Imax
23.03, 27
32.79, 100
40.45, 9
47.02, 13
47.13, 6
52.98, 8
58.53, 37
68.74, 11
73.56, 6
78.21, 11

=====

8.
Calculated powder diffractogram
Compound: Ac7Pt3
Radiation: CuKα
Structure: DFT lattice parameters and positions (GGA-PBE)

Structure:
abc: 10.7952 10.7952 6.9265
angles: 90.00 90.00 120.00
Sites, in units of the cell vectors:
Ac: 0.0805 0.5403 0.0000
Ac: 0.1259 0.2517 0.6750
Ac: 0.1259 0.8741 0.6750
Ac: 0.2517 0.1259 0.1750
Ac: 0.3333 0.6667 0.4741
Ac: 0.4597 0.5403 0.0000
Ac: 0.4597 0.9195 0.0000
Ac: 0.5403 0.0805 0.5000
Ac: 0.5403 0.4597 0.5000
Ac: 0.6667 0.3333 0.9741
Ac: 0.7483 0.8741 0.6750
Ac: 0.8741 0.1259 0.1750
Ac: 0.8741 0.7483 0.1750
Ac: 0.9195 0.4597 0.5000
Pt: 0.1888 0.3777 0.2470
Pt: 0.1888 0.8112 0.2470
Pt: 0.3777 0.1888 0.7470
Pt: 0.6223 0.8112 0.2470
Pt: 0.8112 0.1888 0.7470
Pt: 0.8112 0.6223 0.7470

Most intense lines, 15° ≤ 2θ ≤ 90°, sorted by position:
2θ/deg, I/Imax
27.46, 40
28.35, 100
28.65, 19
31.48, 52
32.17, 49
33.20, 45
36.32, 19
49.11, 30
50.02, 20
50.56, 25

=====

What is the formula in the fourth record?
Ac2Pr2Y